# 1
Diffraction record for MgW2O4. The PXRD pattern is computed, not measured: it uses DFT lattice parameters and positions (PBE+U) and Cu Kα X-rays.
Intensities are scaled so that the largest is 100.

Most intense lines, 2θ = 5–70°, in order of falling intensity:
d_spacing	2θ (°)	intensity
2.651	33.82	100
4.816	18.42	61
2.783	32.16	45
2.771	32.31	25
1.916	47.44	23
1.379	67.99	17
1.580	58.42	16
1.576	58.59	12
1.705	53.77	12
3.091	28.89	12
1.922	47.30	12
1.588	58.09	9

Structural model:
```
MgW2O4
1.0
9.6544 0.0000 0.0000
0.0000 3.1760 0.0000
0.0000 0.0000 11.0845
Mg W O
4 8 16
direct
0.2472 0.2500 0.1549
0.2528 0.7500 0.6549
0.7472 0.2500 0.3451
0.7528 0.7500 0.8451
0.0485 0.2500 0.3767
0.1047 0.2500 0.9007
0.3953 0.7500 0.4007
0.4515 0.7500 0.8767
0.5485 0.2500 0.1233
0.6047 0.2500 0.5993
0.8953 0.7500 0.0993
0.9515 0.7500 0.6233
0.0808 0.7500 0.7776
0.1014 0.2500 0.5708
0.1162 0.7500 0.0444
0.1878 0.7500 0.3124
0.3122 0.2500 0.8124
0.3838 0.2500 0.5444
0.3986 0.7500 0.0708
0.4192 0.2500 0.2776
0.5808 0.7500 0.7224
0.6014 0.2500 0.9292
0.6162 0.7500 0.4556
0.6878 0.7500 0.1876
0.8122 0.2500 0.6876
0.8838 0.2500 0.9556
0.8986 0.7500 0.4292
0.9192 0.2500 0.2224
```

---

# 2
Diffraction record for LiNi9O10. The PXRD pattern is computed, not measured: it uses DFT lattice parameters and positions (PBE+U) and Cu Kα X-rays.
Intensities are scaled so that the largest is 100.

Most intense lines, 2θ = 5–70°, in order of falling intensity:
d_spacing	2θ (°)	intensity
2.420	37.15	100
2.093	43.23	97
1.483	62.63	56
2.102	43.03	50
1.480	62.79	28
6.333	13.98	5
4.841	18.33	4
5.450	16.26	3
3.661	24.31	3
4.802	18.48	3
3.133	28.49	2
4.284	20.73	2

Structural model:
```
LiNi9O10
1.0
5.1302 0.0000 0.0000
-1.7100 5.6681 0.0000
-0.8757 -1.8103 6.3332
Li Ni O
1 9 10
direct
0.0000 0.0000 0.0000
0.0000 0.5000 0.0000
0.1992 0.3967 0.3965
0.1998 0.9012 0.3971
0.3964 0.2978 0.8006
0.4015 0.8028 0.8030
0.5985 0.1972 0.1970
0.6036 0.7022 0.1994
0.8002 0.0988 0.6029
0.8008 0.6033 0.6035
0.1032 0.4490 0.7008
0.1066 0.9519 0.6930
0.3070 0.8448 0.1035
0.3076 0.3616 0.1042
0.4990 0.7493 0.5020
0.5010 0.2507 0.4980
0.6924 0.6384 0.8958
0.6930 0.1552 0.8965
0.8934 0.0481 0.3070
0.8968 0.5510 0.2992
```

---

# 3
Diffraction record for Na5Mn11O24. The PXRD pattern is computed, not measured: it uses DFT lattice parameters and positions (PBE+U) and Cu Kα X-rays.
Intensities are scaled so that the largest is 100.

Most intense lines, 2θ = 5–70°, in order of falling intensity:
d_spacing	2θ (°)	intensity
5.119	17.32	100
4.893	18.13	74
2.166	41.70	70
2.564	35.00	45
4.940	17.96	38
2.112	42.83	36
1.532	60.44	31
1.493	62.19	30
2.589	34.64	25
2.610	34.36	24
2.549	35.21	23
2.662	33.67	23

Structural model:
```
Na5Mn11O24
1.0
5.3521 -3.0014 0.0000
5.3521 3.0014 0.0000
-0.8341 0.0000 14.8202
Na Mn O
5 11 24
direct
0.0000 0.0000 0.0000
0.0071 0.0071 0.7527
0.3300 0.3300 0.4194
0.3545 0.3545 0.6801
0.6541 0.6541 0.0746
0.0034 0.5034 0.8767
0.0037 0.0037 0.3744
0.1657 0.6649 0.2124
0.1670 0.1670 0.2148
0.3216 0.3216 0.0442
0.3455 0.8407 0.5397
0.5034 0.0034 0.8767
0.6649 0.1657 0.2124
0.6861 0.6861 0.7093
0.8399 0.8399 0.5369
0.8407 0.3455 0.5397
0.0111 0.0111 0.6037
0.0415 0.4684 0.1402
0.1435 0.1435 0.4653
0.1477 0.7250 0.4626
0.1490 0.6029 0.9755
0.1842 0.1842 0.9485
0.2851 0.8590 0.2911
0.3257 0.3257 0.8219
0.3396 0.3396 0.2771
0.4045 0.8581 0.7768
0.4663 0.4663 0.1365
0.4684 0.0415 0.1402
0.5386 0.9684 0.6107
0.5413 0.5413 0.6149
0.6029 0.1490 0.9755
0.6682 0.6682 0.4718
0.6809 0.6809 0.9314
0.7250 0.1477 0.4626
0.8226 0.8226 0.8044
0.8581 0.4045 0.7768
0.8590 0.2851 0.2911
0.8621 0.8621 0.2878
0.9684 0.5386 0.6107
0.9965 0.9965 0.1489
```

---

# 4
Diffraction record for Er5Mo2O12. The PXRD pattern is computed, not measured: it uses DFT lattice parameters and positions (PBE+U) and Cu Kα X-rays.
Intensities are scaled so that the largest is 100.

Most intense lines, 2θ = 5–70°, in order of falling intensity:
d_spacing	2θ (°)	intensity
3.110	28.71	100
3.264	27.32	96
2.665	33.63	54
1.986	45.69	31
1.643	55.96	26
2.747	32.60	23
2.977	30.02	22
1.743	52.49	20
1.592	57.93	20
1.823	50.02	19
2.263	39.83	19
2.737	32.72	18

Structural model:
```
Er5Mo2O12
1.0
6.1345 -2.9771 0.0000
6.1345 2.9771 0.0000
-2.1765 0.0000 6.9613
Er Mo O
5 2 12
direct
0.0000 0.0000 0.0000
0.3003 0.3003 0.1362
0.3094 0.3094 0.6770
0.6906 0.6906 0.3230
0.6997 0.6997 0.8638
0.2470 0.7530 0.5000
0.7530 0.2470 0.5000
0.0017 0.0017 0.6915
0.0966 0.5962 0.9265
0.1000 0.5654 0.4137
0.4038 0.9034 0.0735
0.4346 0.9000 0.5863
0.5004 0.5004 0.3009
0.4996 0.4996 0.6991
0.5654 0.1000 0.4137
0.5962 0.0966 0.9265
0.9000 0.4346 0.5863
0.9034 0.4038 0.0735
0.9983 0.9983 0.3085
```